No. 1
For KCrO2, the GGA+U geometry in the Materials Project gives the calculated powder diffractogram in this record (CuKα).

Main lines, most intense first (2θ from 10° to 90°):
38.83°, I = 1000
34.62°, I = 385
29.75°, I = 288
59.15°, I = 265
52.90°, I = 263
14.75°, I = 246
61.85°, I = 174
67.61°, I = 140
73.04°, I = 116
83.11°, I = 74

Cell lengths 6.2709, 6.2709, 6.2709 Å; angles 28.84, 28.84, 28.84 degrees
Positions (direct):
K (0.0000, 0.0000, 0.0000)
Cr (0.5000, 0.5000, 0.5000)
O (0.2237, 0.2237, 0.2237)
O (0.7763, 0.7763, 0.7763)

=====

No. 2
For KCr4O8, the GGA+U geometry in the Materials Project gives the calculated powder diffractogram in this record (CuKα).

Main lines, most intense first (2θ from 10° to 90°):
28.37°, I = 1000
36.06°, I = 886
40.51°, I = 508
58.65°, I = 456
48.37°, I = 404
17.83°, I = 365
12.58°, I = 325
67.91°, I = 321
55.42°, I = 271
25.32°, I = 133

Cell lengths 7.1930, 7.1930, 7.1930 Å; angles 92.50, 92.50, 155.87 degrees
Positions (direct):
K (0.0000, 0.0000, 0.0000)
Cr (0.1519, 0.6646, 0.8165)
Cr (0.3354, 0.1519, 0.4873)
Cr (0.6646, 0.8481, 0.5127)
Cr (0.8481, 0.3354, 0.1835)
O (0.0397, 0.3373, 0.3770)
O (0.2977, 0.3454, 0.6431)
O (0.3373, 0.9603, 0.2976)
O (0.3454, 0.7023, 0.0476)
O (0.6546, 0.2977, 0.9524)
O (0.6627, 0.0397, 0.7024)
O (0.7023, 0.6546, 0.3569)
O (0.9603, 0.6627, 0.6230)

=====

No. 3
For K3CrO8, the GGA+U geometry in the Materials Project gives the calculated powder diffractogram in this record (CuKα).

Main lines, most intense first (2θ from 10° to 90°):
29.40°, I = 1000
48.18°, I = 539
37.30°, I = 450
17.25°, I = 373
26.13°, I = 291
60.99°, I = 171
75.06°, I = 147
31.48°, I = 142
18.40°, I = 142
62.47°, I = 110

Cell lengths 6.2098, 6.2098, 6.2098 Å; angles 113.39, 113.39, 101.89 degrees
Positions (direct):
K (0.0000, 0.0000, 0.0000)
K (0.2500, 0.7500, 0.5000)
K (0.7500, 0.2500, 0.5000)
Cr (0.5000, 0.5000, 0.0000)
O (0.1868, 0.1868, 0.7316)
O (0.2774, 0.2774, 0.5874)
O (0.3099, 0.7226, 0.0000)
O (0.4552, 0.4552, 0.2684)
O (0.5448, 0.8132, 0.0000)
O (0.6901, 0.6901, 0.4126)
O (0.7226, 0.3099, 0.0000)
O (0.8132, 0.5448, 0.0000)

=====

No. 4
For KCrO2, the GGA+U geometry in the Materials Project gives the calculated powder diffractogram in this record (CuKα).

Main lines, most intense first (2θ from 10° to 90°):
36.47°, I = 1000
40.26°, I = 664
57.23°, I = 417
29.71°, I = 387
59.26°, I = 356
14.73°, I = 329
45.12°, I = 215
67.69°, I = 187
71.62°, I = 115
34.02°, I = 113

Cell lengths 3.1185, 3.1185, 12.0275 Å; angles 90.00, 90.00, 120.00 degrees
Positions (direct):
K (0.3333, 0.6667, 0.2500)
K (0.6667, 0.3333, 0.7500)
Cr (0.0000, 0.0000, 0.0000)
Cr (0.0000, 0.0000, 0.5000)
O (0.3333, 0.6667, 0.5861)
O (0.3333, 0.6667, 0.9139)
O (0.6667, 0.3333, 0.0861)
O (0.6667, 0.3333, 0.4139)

=====

No. 5
For KCrO2, the GGA+U geometry in the Materials Project gives the calculated powder diffractogram in this record (CuKα).

Main lines, most intense first (2θ from 10° to 90°):
23.11°, I = 1000
31.67°, I = 218
40.60°, I = 196
49.84°, I = 149
47.24°, I = 118
21.36°, I = 100
64.01°, I = 81
61.03°, I = 74
46.33°, I = 72
80.60°, I = 59

Cell lengths 4.4439, 4.4439, 8.3188 Å; angles 90.00, 90.00, 120.00 degrees
Positions (direct):
K (0.0000, 0.0000, 0.0000)
Cr (0.0000, 0.0000, 0.5000)
O (0.0000, 0.0000, 0.2928)
O (0.0000, 0.0000, 0.7072)

=====

No. 6
For K2Cr4O13, the GGA+U geometry in the Materials Project gives the calculated powder diffractogram in this record (CuKα).

Main lines, most intense first (2θ from 10° to 90°):
24.44°, I = 1000
26.73°, I = 982
21.91°, I = 595
30.01°, I = 543
29.18°, I = 434
23.08°, I = 425
14.78°, I = 327
39.54°, I = 326
15.19°, I = 278
21.49°, I = 254

Cell lengths 8.9425, 7.7019, 9.5535 Å; angles 90.00, 92.50, 90.00 degrees
Positions (direct):
K (0.0000, 0.0936, 0.0000)
K (0.0000, 0.9064, 0.5000)
K (0.7408, 0.3962, 0.3614)
K (0.7408, 0.6038, 0.8614)
Cr (0.0543, 0.4296, 0.6257)
Cr (0.0543, 0.5704, 0.1257)
Cr (0.3684, 0.0661, 0.7704)
Cr (0.3684, 0.9339, 0.2704)
Cr (0.3773, 0.3925, 0.0016)
Cr (0.3773, 0.6075, 0.5016)
Cr (0.7120, 0.0716, 0.7252)
Cr (0.7120, 0.9284, 0.2252)
O (0.0329, 0.2746, 0.5115)
O (0.0329, 0.7254, 0.0115)
O (0.0675, 0.3494, 0.7832)
O (0.0675, 0.6506, 0.2832)
O (0.2201, 0.4382, 0.0929)
O (0.2201, 0.5618, 0.5929)
O (0.2324, 0.0693, 0.2534)
O (0.2324, 0.9307, 0.7534)
O (0.3563, 0.1775, 0.9320)
O (0.3563, 0.8225, 0.4320)
O (0.3599, 0.2014, 0.6439)
O (0.3599, 0.7986, 0.1439)
O (0.3989, 0.4723, 0.3776)
O (0.3989, 0.5277, 0.8776)
O (0.5255, 0.3972, 0.1026)
O (0.5255, 0.6028, 0.6026)
O (0.5386, 0.0434, 0.2651)
O (0.5386, 0.9566, 0.7651)
O (0.7076, 0.1270, 0.5612)
O (0.7076, 0.8730, 0.0612)
O (0.7287, 0.2414, 0.8258)
O (0.7287, 0.7586, 0.3258)
O (0.8518, 0.0613, 0.2577)
O (0.8518, 0.9387, 0.7577)
O (0.9099, 0.4401, 0.1106)
O (0.9099, 0.5599, 0.6106)

=====

No. 7
For K3Cr4PO16, the GGA+U geometry in the Materials Project gives the calculated powder diffractogram in this record (CuKα).

Main lines, most intense first (2θ from 10° to 90°):
24.12°, I = 1000
24.59°, I = 967
24.28°, I = 539
30.56°, I = 468
29.47°, I = 301
19.63°, I = 227
37.31°, I = 181
29.71°, I = 157
12.22°, I = 141
25.59°, I = 134

Cell lengths 7.7257, 7.7257, 15.0908 Å; angles 99.92, 99.92, 102.21 degrees
Positions (direct):
K (0.0100, 0.9900, 0.5000)
K (0.3192, 0.7685, 0.7720)
K (0.4388, 0.5098, 0.4898)
K (0.5098, 0.4388, 0.9898)
K (0.7685, 0.3192, 0.2720)
K (0.9900, 0.0100, 0.0000)
Cr (0.0102, 0.4669, 0.8993)
Cr (0.2951, 0.4199, 0.2033)
Cr (0.4199, 0.2951, 0.7033)
Cr (0.4669, 0.0102, 0.3993)
Cr (0.5063, 0.9801, 0.0198)
Cr (0.7895, 0.9106, 0.7297)
Cr (0.9106, 0.7895, 0.2297)
Cr (0.9801, 0.5063, 0.5198)
P (0.2989, 0.8351, 0.1790)
P (0.8351, 0.2989, 0.6790)
O (0.0439, 0.3799, 0.4400)
O (0.0877, 0.3406, 0.2115)
O (0.0979, 0.8449, 0.1679)
O (0.1126, 0.3239, 0.9402)
O (0.1443, 0.6693, 0.9261)
O (0.1470, 0.6811, 0.5717)
O (0.2847, 0.3448, 0.6221)
O (0.3159, 0.6382, 0.1660)
O (0.3239, 0.1126, 0.4402)
O (0.3406, 0.0877, 0.7115)
O (0.3448, 0.2847, 0.1221)
O (0.3664, 0.9153, 0.1017)
O (0.3799, 0.0439, 0.9400)
O (0.4129, 0.9522, 0.2718)
O (0.4364, 0.4432, 0.3003)
O (0.4432, 0.4364, 0.8003)
O (0.4685, 0.8288, 0.4388)
O (0.5782, 0.8098, 0.9743)
O (0.6240, 0.7526, 0.6612)
O (0.6382, 0.3159, 0.6660)
O (0.6693, 0.1443, 0.4261)
O (0.6811, 0.1470, 0.0717)
O (0.7301, 0.9860, 0.8245)
O (0.7526, 0.6240, 0.1611)
O (0.8098, 0.5782, 0.4743)
O (0.8288, 0.4685, 0.9388)
O (0.8366, 0.9698, 0.2524)
O (0.8449, 0.0979, 0.6679)
O (0.9153, 0.3664, 0.6017)
O (0.9522, 0.4129, 0.7718)
O (0.9698, 0.8366, 0.7524)
O (0.9860, 0.7301, 0.3245)

=====

No. 8
For KCrP2O7, the GGA+U geometry in the Materials Project gives the calculated powder diffractogram in this record (CuKα).

Main lines, most intense first (2θ from 10° to 90°):
30.03°, I = 1000
15.19°, I = 544
22.36°, I = 479
29.35°, I = 406
25.97°, I = 184
29.66°, I = 157
16.57°, I = 146
33.63°, I = 122
28.44°, I = 114
42.34°, I = 111

Cell lengths 7.4754, 10.0881, 8.3165 Å; angles 90.00, 106.99, 90.00 degrees
Positions (direct):
K (0.1773, 0.1778, 0.0572)
K (0.1773, 0.3222, 0.5572)
K (0.8227, 0.6778, 0.4428)
K (0.8227, 0.8222, 0.9428)
Cr (0.2367, 0.6011, 0.2608)
Cr (0.2367, 0.8989, 0.7608)
Cr (0.7633, 0.1011, 0.2392)
Cr (0.7633, 0.3989, 0.7392)
P (0.1304, 0.5977, 0.8304)
P (0.1304, 0.9023, 0.3304)
P (0.4386, 0.6351, 0.6922)
P (0.4386, 0.8649, 0.1922)
P (0.5614, 0.1351, 0.8078)
P (0.5614, 0.3649, 0.3078)
P (0.8696, 0.0977, 0.6696)
P (0.8696, 0.4023, 0.1696)
O (0.0059, 0.5030, 0.2789)
O (0.0059, 0.9970, 0.7789)
O (0.0801, 0.7361, 0.7515)
O (0.0801, 0.7639, 0.2515)
O (0.1411, 0.5932, 0.0135)
O (0.1411, 0.9068, 0.5135)
O (0.3190, 0.6051, 0.5140)
O (0.3190, 0.8949, 0.0140)
O (0.3348, 0.5578, 0.8134)
O (0.3348, 0.9422, 0.3134)
O (0.3637, 0.0779, 0.7625)
O (0.3637, 0.4221, 0.2625)
O (0.4515, 0.7177, 0.2445)
O (0.4515, 0.7823, 0.7445)
O (0.5485, 0.2177, 0.2555)
O (0.5485, 0.2823, 0.7555)
O (0.6363, 0.5779, 0.7375)
O (0.6363, 0.9221, 0.2375)
O (0.6652, 0.0578, 0.6866)
O (0.6652, 0.4422, 0.1866)
O (0.6810, 0.1051, 0.9860)
O (0.6810, 0.3949, 0.4860)
O (0.8589, 0.0932, 0.4865)
O (0.8589, 0.4068, 0.9865)
O (0.9199, 0.2361, 0.7485)
O (0.9199, 0.2639, 0.2485)
O (0.9941, 0.0030, 0.2211)
O (0.9941, 0.4970, 0.7211)